The following is a calculated powder XRD pattern of Li2CrNiO4. It was derived from a PBE+U-relaxed structure, using Cu Kα (weighted mean of Kα1 and Kα2).
Lines closer than 0.1° are merged.

Principal peaks in the range 2θ = 5–70°, in order of rising 2θ:
- 24.2°, intensity 1000
- 37.7°, intensity 190
- 38.8°, intensity 159
- 42.7°, intensity 262
- 44.4°, intensity 493
- 51.3°, intensity 227
- 59.0°, intensity 102
- 60.4°, intensity 81
- 63.3°, intensity 269
- 64.7°, intensity 133

Structural model:
Cell lengths 5.7667, 8.4791, 5.7629 Å; angles 90.00, 90.00, 90.00 degrees
Space group C222 (No. 21)
Symmetry-distinct sites (fractional):
Li  0.0000  0.0000  0.0000 (multiplicity 2)
Li  0.0000  0.5000  0.5000 (multiplicity 2)
Li  0.2500  0.2500  0.2501 (multiplicity 4)
Cr  0.2500  0.2500  0.7432 (multiplicity 4)
Ni  0.0000  0.0000  0.5000 (multiplicity 2)
Ni  0.0000  0.5000  0.0000 (multiplicity 2)
O  0.0000  0.2434  0.5000 (multiplicity 4)
O  0.0000  0.2759  0.0000 (multiplicity 4)
O  0.2478  0.0195  0.7550 (multiplicity 8)